Diffraction record for RbMnAuS2. The PXRD pattern is theoretical, not measured: it uses a crystal structure in Alexandria, relaxed with PBE and a wavelength of 1.5418 Å.
Intensities are scaled so that the largest is 100.

Largest 12 diffraction maxima, in order of rising 2θ, 2θ = 10–90°:
- 2θ 12.73, 6.953 Å, intensity 100, (1 0 0)
- 2θ 15.21, 5.826 Å, intensity 32, (0 1 0)
- 2θ 19.88, 4.466 Å, intensity 30, (1 1 0)
- 2θ 25.62, 3.476 Å, intensity 47, (2 0 0)
- 2θ 27.74, 3.216 Å, intensity 43, (1 0 -2)
- 2θ 29.93, 2.985 Å, intensity 26, (2 1 0)
- 2θ 31.78, 2.815 Å, intensity 43, (1 1 -2)
- 2θ 33.17, 2.701 Å, intensity 32, (0 1 2)
- 2θ 33.35, 2.687 Å, intensity 66, (1 2 0)
- 2θ 35.52, 2.527 Å, intensity 31, (2 1 -2)
- 2θ 39.21, 2.297 Å, intensity 33, (1 1 2)
- 2θ 43.23, 2.093 Å, intensity 26, (3 1 -2)

Crystal structure
Unit cell a=7.380 b=5.826 c=6.470 alpha=90.00 beta=109.59 gamma=90.00
Positions (direct):
1 Rb 0.000 0.222 0.250
2 Rb 0.000 0.778 0.750
3 Mn 0.500 0.494 0.750
4 Mn 0.500 0.506 0.250
5 Au 0.500 0.000 0.000
6 Au 0.500 0.000 0.500
7 S 0.285 0.309 0.920
8 S 0.285 0.691 0.420
9 S 0.715 0.309 0.580
10 S 0.715 0.691 0.080